(1)
NbTlReO6: simulated powder diffractogram (Cu Kα (λ = 1.5418 Å)), based on the GGA-PBE geometry in Alexandria.
Intensities are scaled so that the largest is 100.

Cell and atoms:
```
data_NbTlReO6
_chemical_formula_sum 'Nb2 Tl2 Re2 O12'
_cell_length_a 7.403
_cell_length_b 7.403
_cell_length_c 7.403
_cell_angle_alpha 120.67
_cell_angle_beta 119.50
_cell_angle_gamma 89.85
_space_group_name_H-M_alt 'P 1'
_space_group_IT_number 1
_space_group_name_Hall 'P 1'
loop_
_atom_site_label
_atom_site_fract_x
_atom_site_fract_y
_atom_site_fract_z
Nb1 0.000 0.000 0.000
Nb2 0.500 0.000 0.500
Tl1 0.379 0.629 0.750
Tl2 0.621 0.371 0.250
Re1 0.000 0.000 0.500
Re2 0.000 0.500 0.000
O1 0.051 0.301 0.750
O2 0.057 0.322 0.128
O3 0.057 0.929 0.735
O4 0.306 0.071 0.628
O5 0.306 0.678 0.235
O6 0.316 0.066 0.250
O7 0.684 0.934 0.750
O8 0.694 0.322 0.765
O9 0.694 0.929 0.372
O10 0.943 0.071 0.265
O11 0.943 0.678 0.872
O12 0.949 0.699 0.250
```

Principal peaks in the range 2θ = 5–70°, sorted by position:
| 2θ (°) | I/Imax |
| --- | --- |
| 24.05 | 46 |
| 28.18 | 96 |
| 28.45 | 100 |
| 29.39 | 35 |
| 44.91 | 38 |
| 49.24 | 51 |

(2)
ScNbRhO6: simulated powder diffractogram (Cu Kα (λ = 1.5418 Å)), based on the GGA-PBE geometry in Alexandria.
Intensities are scaled so that the largest is 100.

Cell and atoms:
```
data_ScNbRhO6
_chemical_formula_sum 'Sc2 Nb2 Rh2 O12'
_cell_length_a 4.776
_cell_length_b 4.776
_cell_length_c 9.397
_cell_angle_alpha 90.00
_cell_angle_beta 90.00
_cell_angle_gamma 90.00
_space_group_name_H-M_alt 'P 1'
_space_group_IT_number 1
_space_group_name_Hall 'P 1'
loop_
_atom_site_label
_atom_site_fract_x
_atom_site_fract_y
_atom_site_fract_z
Sc1 0.000 0.000 0.000
Sc2 0.500 0.500 0.500
Nb1 0.000 0.000 0.665
Nb2 0.500 0.500 0.165
Rh1 0.000 0.000 0.328
Rh2 0.500 0.500 0.828
O1 0.188 0.188 0.495
O2 0.200 0.200 0.168
O3 0.203 0.203 0.819
O4 0.297 0.703 0.319
O5 0.300 0.700 0.668
O6 0.312 0.688 0.995
O7 0.688 0.312 0.995
O8 0.700 0.300 0.668
O9 0.703 0.297 0.319
O10 0.797 0.797 0.819
O11 0.800 0.800 0.168
O12 0.812 0.812 0.495
```

Principal peaks in the range 2θ = 5–70°, sorted by position:
| 2θ (°) | I/Imax |
| --- | --- |
| 20.86 | 18 |
| 26.39 | 100 |
| 34.23 | 68 |
| 51.81 | 64 |
| 54.33 | 17 |
| 65.77 | 34 |

(3)
Nb3S4O2: simulated powder diffractogram (Cu Kα (λ = 1.5418 Å)), based on the GGA-PBE geometry in Alexandria.
Intensities are scaled so that the largest is 100.

Cell and atoms:
```
data_Nb3S4O2
_chemical_formula_sum 'Nb3 S4 O2'
_cell_length_a 3.210
_cell_length_b 3.210
_cell_length_c 19.387
_cell_angle_alpha 90.00
_cell_angle_beta 90.00
_cell_angle_gamma 120.00
_space_group_name_H-M_alt 'P 1'
_space_group_IT_number 1
_space_group_name_Hall 'P 1'
loop_
_atom_site_label
_atom_site_fract_x
_atom_site_fract_y
_atom_site_fract_z
Nb1 0.000 0.000 0.000
Nb2 0.000 0.000 0.335
Nb3 0.667 0.333 0.689
S1 0.000 0.000 0.605
S2 0.000 0.000 0.772
S3 0.667 0.333 0.252
S4 0.667 0.333 0.419
O1 0.667 0.333 0.060
O2 0.667 0.333 0.940
```

Principal peaks in the range 2θ = 5–70°, sorted by position:
| 2θ (°) | I/Imax |
| --- | --- |
| 13.70 | 100 |
| 32.20 | 23 |
| 35.14 | 19 |
| 37.29 | 24 |
| 39.90 | 24 |
| 46.27 | 15 |

(4)
Sm3NbS3O4: simulated powder diffractogram (Cu Kα (λ = 1.5418 Å)), based on the GGA-PBE geometry in Alexandria.
Intensities are scaled so that the largest is 100.

Cell and atoms:
```
data_Sm3NbS3O4
_chemical_formula_sum 'Sm12 Nb4 S12 O16'
_cell_length_a 6.727
_cell_length_b 14.379
_cell_length_c 7.728
_cell_angle_alpha 90.00
_cell_angle_beta 90.00
_cell_angle_gamma 90.00
_space_group_name_H-M_alt 'P 1'
_space_group_IT_number 1
_space_group_name_Hall 'P 1'
loop_
_atom_site_label
_atom_site_fract_x
_atom_site_fract_y
_atom_site_fract_z
Sm1 0.217 0.155 0.000
Sm2 0.222 0.918 0.243
Sm3 0.229 0.169 0.489
Sm4 0.271 0.669 0.989
Sm5 0.278 0.418 0.743
Sm6 0.283 0.655 0.500
Sm7 0.717 0.345 0.000
Sm8 0.722 0.582 0.243
Sm9 0.729 0.331 0.489
Sm10 0.771 0.831 0.989
Sm11 0.778 0.082 0.743
Sm12 0.783 0.845 0.500
Nb1 0.179 0.927 0.759
Nb2 0.321 0.427 0.259
Nb3 0.679 0.573 0.759
Nb4 0.821 0.073 0.259
S1 0.002 0.272 0.755
S2 0.032 0.492 0.464
S3 0.049 0.298 0.233
S4 0.451 0.798 0.733
S5 0.468 0.992 0.964
S6 0.498 0.772 0.255
S7 0.502 0.228 0.755
S8 0.532 0.008 0.464
S9 0.549 0.202 0.233
S10 0.951 0.702 0.733
S11 0.968 0.508 0.964
S12 0.998 0.728 0.255
O1 0.119 0.861 0.973
O2 0.125 0.887 0.524
O3 0.134 0.073 0.258
O4 0.142 0.062 0.737
O5 0.358 0.562 0.237
O6 0.366 0.573 0.758
O7 0.375 0.387 0.024
O8 0.381 0.361 0.473
O9 0.619 0.639 0.973
O10 0.625 0.613 0.524
O11 0.634 0.427 0.258
O12 0.642 0.438 0.737
O13 0.858 0.938 0.237
O14 0.866 0.927 0.758
O15 0.875 0.113 0.024
O16 0.881 0.139 0.473
```

Principal peaks in the range 2θ = 5–70°, sorted by position:
| 2θ (°) | I/Imax |
| --- | --- |
| 26.50 | 29 |
| 28.15 | 54 |
| 29.41 | 100 |
| 37.60 | 30 |
| 44.49 | 32 |
| 52.53 | 21 |